Entry 1:
This entry pairs a crystal structure of TbPuGeSe with its theoretical powder diffraction line list. Radiation: a wavelength of 1.5418 Å. Structure: DFT lattice parameters and positions (PBE).
Peak positions follow from Bragg's law for the DFT cell and can differ from measured ones.

Structure:
```
data_TbPuGeSe
_space_group_name_H-M_alt 'R 3 m'
_space_group_IT_number 160
_space_group_name_Hall 'R 3 -2"'
_cell_length_a 4.1560
_cell_length_b 4.1560
_cell_length_c 20.3237
_cell_angle_alpha 90.00
_cell_angle_beta 90.00
_cell_angle_gamma 120.00
loop_
_atom_site_label
_atom_site_type_symbol
_atom_site_fract_x
_atom_site_fract_y
_atom_site_fract_z
Tb1 Tb 0.0000 0.0000 0.0000
Pu1 Pu 0.0000 0.0000 0.5036
Ge1 Ge 0.0000 0.0000 0.2510
Se1 Se 0.0000 0.0000 0.7523
```

Principal peaks in the range 2θ from 5° to 70°, sorted by position:
Position (°2θ)  I_rel  h k l
26.3  35  0 1 2
30.4  100  1 0 4
43.6  75  1 1 0
51.6  18  2 0 2
54.1  27  0 2 4
63.3  12  2 0 8

Entry 2:
This entry pairs a crystal structure of Na4SrIn4 with its theoretical powder diffraction line list. Radiation: a wavelength of 1.5418 Å. Structure: DFT lattice parameters and positions (PBE).
Peak positions follow from Bragg's law for the DFT cell and can differ from measured ones.

Structure:
```
data_Na4SrIn4
_space_group_name_H-M_alt 'P 42/n m c'
_space_group_IT_number 137
_cell_length_a 6.9852
_cell_length_b 6.9852
_cell_length_c 11.2290
_cell_angle_alpha 90.00
_cell_angle_beta 90.00
_cell_angle_gamma 90.00
loop_
_space_group_symop_operation_xyz
'x,y,z'
'-x,-y,-z'
'-y+1/2,x,z+1/2'
'y+1/2,-x,-z+1/2'
'-x+1/2,-y+1/2,z'
'x+1/2,y+1/2,-z'
'y,-x+1/2,z+1/2'
'-y,x+1/2,-z+1/2'
'x+1/2,-y,-z'
'-x+1/2,y,z'
'-y,-x,-z+1/2'
'y,x,z+1/2'
'-x,y+1/2,-z'
'x,-y+1/2,z'
'y+1/2,x+1/2,-z+1/2'
'-y+1/2,-x+1/2,z+1/2'
loop_
_atom_site_label
_atom_site_type_symbol
_atom_site_fract_x
_atom_site_fract_y
_atom_site_fract_z
Na1 Na 0.0253 0.2500 0.1781
Sr1 Sr 0.2500 0.7500 0.2500
In1 In 0.0261 0.2500 0.4730
```

Principal peaks in the range 2θ from 5° to 70°, sorted by position:
Position (°2θ)  I_rel  h k l
15.8  44  0 0 2
26.7  100  2 0 1
29.7  31  2 1 1
35.1  71  2 0 3
36.4  27  2 2 0
39.9  42  2 2 2